Theoretical PXRD pattern of NpC for Cu Kα, 1.54184 Å, from a cell relaxed with GGA-PBE.
Kinematic intensities with the Lorentz-polarization factor, no thermal factor.

Top 6 peaks for 10° ≤ 2θ ≤ 80°, sorted by position:
d/Å  Rel. int.
2.862  100
2.478  62
1.752  44
1.494  46
1.431  15
1.239  7

Cell: 3.5049 3.5049 3.5049 Å, 60.00 60.00 60.00°
Sites, in units of the cell vectors:
Np1 0.0000 0.0000 0.0000
C1 0.5000 0.5000 0.5000

=====

Theoretical PXRD pattern of NaAsO6 for Cu Kα, 1.54184 Å, from a cell relaxed with GGA-PBE.
Kinematic intensities with the Lorentz-polarization factor, no thermal factor.

Top 10 peaks for 10° ≤ 2θ ≤ 80°, sorted by position:
d/Å  Rel. int.
8.547  49
6.170  54
4.688  60
3.690  44
3.501  100
3.294  54
3.132  38
2.696  58
2.563  31
2.223  37

Cell: 6.2377 4.6035 8.6406 Å, 90.00 98.42 90.00°
Sites, in units of the cell vectors:
Na1 0.2343 0.0000 0.4505
Na2 0.7657 0.5000 0.5495
As1 0.3650 0.2699 0.0733
As2 0.6350 0.7699 0.9267
O1 0.0062 0.2761 0.7843
O2 0.0082 0.0149 0.7416
O3 0.2031 0.5170 0.5538
O4 0.3788 0.4282 0.6453
O5 0.3915 0.9002 0.0040
O6 0.4488 0.2214 0.2805
O7 0.5512 0.7214 0.7195
O8 0.6085 0.4002 0.9960
O9 0.6212 0.9282 0.3547
O10 0.7969 0.0170 0.4462
O11 0.9918 0.5149 0.2584
O12 0.9938 0.7761 0.2157